Entry 1:
Computed PXRD pattern
Compound: Pr5Hg2Bi
Radiation: Cu Kα, 1.54184 Å
Structure: a structure optimized by DFT (GGA-PBE)
Lines closer than 0.1° are merged.

Cell and atoms:
Lattice parameters (Å, degrees): 9.085 9.085 9.085 122.12 122.12 86.37
Positions (direct):
Pr (0.000, 0.000, 0.000)
Pr (0.007, 0.507, 0.807)
Pr (0.200, 0.007, 0.500)
Pr (0.300, 0.800, 0.807)
Pr (0.493, 0.300, 0.500)
Pr (0.500, 0.500, 0.000)
Pr (0.507, 0.700, 0.500)
Pr (0.700, 0.200, 0.193)
Pr (0.800, 0.993, 0.500)
Pr (0.993, 0.493, 0.193)
Hg (0.141, 0.359, 0.500)
Hg (0.359, 0.859, 0.217)
Hg (0.641, 0.141, 0.783)
Hg (0.859, 0.641, 0.500)
Bi (0.250, 0.250, 0.000)
Bi (0.750, 0.750, 0.000)

Principal peaks in the range 15° ≤ 2θ ≤ 90°, low angle first:
28.7°, intensity 11; 30.4°, intensity 100; 30.6°, intensity 12; 32.2°, intensity 67; 33.9°, intensity 14; 41.1°, intensity 15; 46.2°, intensity 10; 47.3°, intensity 10; 60.5°, intensity 27; 65.6°, intensity 12

Entry 2:
Computed PXRD pattern
Compound: Li4PmPt3O12
Radiation: Cu Kα, 1.54184 Å
Structure: a structure optimized by DFT (GGA-PBE)
Lines closer than 0.1° are merged.

Cell and atoms:
Lattice parameters (Å, degrees): 6.566 6.566 6.566 109.47 109.47 109.47
Positions (direct):
Li (0.000, 0.000, 0.500)
Li (0.000, 0.500, 0.000)
Li (0.500, 0.000, 0.000)
Li (0.500, 0.500, 0.500)
Pm (0.000, 0.000, 0.000)
Pt (0.000, 0.500, 0.500)
Pt (0.500, 0.000, 0.500)
Pt (0.500, 0.500, 0.000)
O (0.145, 0.314, 0.832)
O (0.168, 0.482, 0.314)
O (0.168, 0.855, 0.686)
O (0.314, 0.168, 0.482)
O (0.314, 0.832, 0.145)
O (0.482, 0.314, 0.168)
O (0.518, 0.686, 0.832)
O (0.686, 0.168, 0.855)
O (0.686, 0.832, 0.518)
O (0.832, 0.145, 0.314)
O (0.832, 0.518, 0.686)
O (0.855, 0.686, 0.168)

Principal peaks in the range 15° ≤ 2θ ≤ 90°, low angle first:
23.5°, intensity 100; 33.4°, intensity 82; 41.2°, intensity 39; 48.0°, intensity 19; 54.1°, intensity 40; 59.7°, intensity 41; 70.2°, intensity 11; 75.2°, intensity 24; 80.0°, intensity 16; 84.8°, intensity 12

Entry 3:
Computed PXRD pattern
Compound: TiAu2N
Radiation: Cu Kα, 1.54184 Å
Structure: a structure optimized by DFT (GGA-PBE)
Lines closer than 0.1° are merged.

Cell and atoms:
Lattice parameters (Å, degrees): 6.252 6.252 6.252 95.58 95.58 143.65
Positions (direct):
Ti (0.000, 0.000, 0.000)
Ti (0.750, 0.250, 0.500)
Au (0.239, 0.625, 0.114)
Au (0.375, 0.489, 0.614)
Au (0.511, 0.125, 0.886)
Au (0.875, 0.761, 0.386)
N (0.250, 0.750, 0.500)
N (0.500, 0.500, 0.000)

Principal peaks in the range 15° ≤ 2θ ≤ 90°, low angle first:
21.2°, intensity 31; 25.2°, intensity 18; 33.1°, intensity 100; 33.7°, intensity 51; 39.6°, intensity 18; 45.3°, intensity 40; 49.2°, intensity 25; 55.8°, intensity 20; 60.0°, intensity 13; 65.3°, intensity 18

Entry 4:
Computed PXRD pattern
Compound: Zr12Tl3Bi
Radiation: Cu Kα, 1.54184 Å
Structure: a structure optimized by DFT (GGA-PBE)
Lines closer than 0.1° are merged.

Cell and atoms:
Lattice parameters (Å, degrees): 5.673 5.674 11.361 90.00 90.00 90.00
Positions (direct):
Zr (0.000, 0.000, 0.123)
Zr (0.000, 0.000, 0.372)
Zr (0.000, 0.000, 0.628)
Zr (0.000, 0.000, 0.877)
Zr (0.251, 0.500, 0.249)
Zr (0.251, 0.500, 0.751)
Zr (0.500, 0.247, 0.500)
Zr (0.500, 0.250, 0.000)
Zr (0.500, 0.750, 0.000)
Zr (0.500, 0.753, 0.500)
Zr (0.749, 0.500, 0.249)
Zr (0.749, 0.500, 0.751)
Tl (0.000, 0.500, 0.000)
Tl (0.500, 0.000, 0.250)
Tl (0.500, 0.000, 0.750)
Bi (0.000, 0.500, 0.500)

Principal peaks in the range 15° ≤ 2θ ≤ 90°, low angle first:
22.1°, intensity 27; 31.5°, intensity 44; 35.4°, intensity 52; 38.9°, intensity 100; 58.6°, intensity 12; 61.1°, intensity 53; 65.8°, intensity 9; 74.8°, intensity 12; 77.0°, intensity 10; 79.2°, intensity 13